The following is a theoretical XRD peak list of CeTl2CdSe4. It was derived from DFT lattice parameters and positions (GGA-PBE), using CuKα.

Main lines, by angle (15° ≤ 2θ ≤ 90°):
- (0 0 2), 23.0 deg, rel. 14
- (1 1 -1), 25.5 deg, rel. 17
- (2 0 -2), 29.0 deg, rel. 52
- (1 1 1), 29.1 deg, rel. 100
- (1 1 -3), 39.5 deg, rel. 40
- (2 0 2), 40.6 deg, rel. 18
- (0 2 0), 42.7 deg, rel. 19
- (3 1 -1), 43.5 deg, rel. 35
- (0 0 4), 47.1 deg, rel. 10
- (2 2 -2), 52.4 deg, rel. 20
- (2 2 2), 60.4 deg, rel. 11
- (5 1 -3), 71.0 deg, rel. 9

Crystal structure
```
data_CeTl2CdSe4
_cell_length_a 7.160
_cell_length_b 4.236
_cell_length_c 8.142
_cell_angle_alpha 90.00
_cell_angle_beta 108.56
_cell_angle_gamma 90.00
_symmetry_space_group_name_H-M 'P 1'
_symmetry_Int_Tables_number 1
loop_
_symmetry_equiv_pos_as_xyz
'x,y,z'
loop_
_atom_site_label
_atom_site_type_symbol
_atom_site_fract_x
_atom_site_fract_y
_atom_site_fract_z
_atom_site_occupancy
Ce1 Ce 0.000 0.000 0.000 1
Tl1 Tl 0.000 0.500 0.500 1
Tl2 Tl 0.500 0.000 0.500 1
Cd1 Cd 0.500 0.500 0.000 1
Se1 Se 0.226 0.500 0.213 1
Se2 Se 0.266 0.000 0.799 1
Se3 Se 0.734 0.000 0.201 1
Se4 Se 0.774 0.500 0.787 1
```